Entry 1:
This entry pairs a crystal structure of Hf2ZrNi2As4Pd2 with its computed powder diffractogram. Radiation: copper Kα. Structure: a DFT-relaxed cell (GGA-PBE, OQMD).

Crystal structure
Cell lengths 6.549, 3.854, 7.587 Å; angles 90.00, 90.89, 90.00 degrees
Space group Pm (No. 6)
Asymmetric unit:
Hf1 0.000 0.000 0.000 [1 per cell]
Hf2 0.067 0.500 0.374 [1 per cell]
Zr1 0.505 0.000 0.874 [1 per cell]
Ni1 0.167 0.500 0.745 [1 per cell]
Ni2 0.693 0.500 0.130 [1 per cell]
As1 0.290 0.500 0.052 [1 per cell]
As2 0.298 0.000 0.576 [1 per cell]
As3 0.776 0.000 0.303 [1 per cell]
As4 0.785 0.500 0.815 [1 per cell]
Pd1 0.385 0.000 0.257 [1 per cell]
Pd2 0.903 0.000 0.621 [1 per cell]

The 8 most intense peaks (15 to 90 degrees two-theta), by angle:
index	Position (°2θ)	Rel. int.
1 1 -2	35.80	88
2 1 0	35.99	88
1 1 2	36.08	49
2 1 -1	37.82	95
2 1 1	38.10	100
0 1 3	42.77	93
2 0 -3	44.93	42
0 2 0	47.17	82

***

Entry 2:
This entry pairs a crystal structure of HfZr2NiAs4Pd3 with its computed powder diffractogram. Radiation: copper Kα. Structure: a DFT-relaxed cell (GGA-PBE, OQMD).

Crystal structure
Cell lengths 6.588, 3.919, 7.632 Å; angles 90.00, 90.15, 90.00 degrees
Space group Pm (No. 6)
Asymmetric unit:
Hf1 0.000 0.000 0.000 [1 per cell]
Zr1 0.432 0.500 0.486 [1 per cell]
Zr2 0.930 0.500 0.628 [1 per cell]
Ni1 0.315 0.500 0.861 [1 per cell]
As1 0.221 0.000 0.695 [1 per cell]
As2 0.253 0.500 0.166 [1 per cell]
As3 0.705 0.500 0.941 [1 per cell]
As4 0.710 0.000 0.429 [1 per cell]
Pd1 0.116 0.000 0.369 [1 per cell]
Pd2 0.608 0.000 0.755 [1 per cell]
Pd3 0.841 0.500 0.246 [1 per cell]

The 8 most intense peaks (15 to 90 degrees two-theta), by angle:
index	Position (°2θ)	Rel. int.
1 0 -1	17.78	28
2 1 0	35.57	100
2 1 -1	37.56	75
1 0 -3	37.90	26
0 1 3	42.36	41
3 0 -1	42.84	17
1 1 3	44.65	30
0 2 0	46.33	38

***

Entry 3:
This entry pairs a crystal structure of Hf2ZrNi2As4Pd2 with its computed powder diffractogram. Radiation: copper Kα. Structure: a DFT-relaxed cell (GGA-PBE, OQMD).

Crystal structure
Cell lengths 6.536, 3.860, 7.578 Å; angles 90.00, 90.88, 90.00 degrees
Space group Pm (No. 6)
Asymmetric unit:
Hf1 0.000 0.000 0.000 [1 per cell]
Hf2 0.494 0.000 0.123 [1 per cell]
Zr1 0.564 0.500 0.498 [1 per cell]
Ni1 0.185 0.500 0.253 [1 per cell]
Ni2 0.666 0.500 0.872 [1 per cell]
As1 0.272 0.000 0.427 [1 per cell]
As2 0.276 0.500 0.939 [1 per cell]
As3 0.787 0.500 0.176 [1 per cell]
As4 0.797 0.000 0.702 [1 per cell]
Pd1 0.399 0.000 0.749 [1 per cell]
Pd2 0.886 0.000 0.381 [1 per cell]

The 8 most intense peaks (15 to 90 degrees two-theta), by angle:
index	Position (°2θ)	Rel. int.
0 1 0	23.04	33
1 1 -2	35.80	50
2 1 0	36.04	100
2 1 -1	37.84	62
2 1 1	38.12	57
0 1 3	42.78	59
1 1 3	45.26	22
0 2 0	47.08	51

***

Entry 4:
This entry pairs a crystal structure of Hf2ZrNi3As4Pd with its computed powder diffractogram. Radiation: copper Kα. Structure: a DFT-relaxed cell (GGA-PBE, OQMD).

Crystal structure
Cell lengths 6.478, 3.840, 7.390 Å; angles 90.00, 90.57, 90.00 degrees
Space group Pm (No. 6)
Asymmetric unit:
Hf1 0.000 0.000 0.000 [1 per cell]
Hf2 0.059 0.500 0.372 [1 per cell]
Zr1 0.509 0.000 0.862 [1 per cell]
Ni1 0.394 0.000 0.236 [1 per cell]
Ni2 0.691 0.500 0.122 [1 per cell]
Ni3 0.910 0.000 0.618 [1 per cell]
As1 0.303 0.500 0.071 [1 per cell]
As2 0.313 0.000 0.543 [1 per cell]
As3 0.764 0.000 0.312 [1 per cell]
As4 0.783 0.500 0.786 [1 per cell]
Pd1 0.174 0.500 0.743 [1 per cell]

The 8 most intense peaks (15 to 90 degrees two-theta), by angle:
index	Position (°2θ)	Rel. int.
2 1 0	36.29	56
1 1 -2	36.40	70
1 1 2	36.58	51
2 1 -1	38.25	100
2 1 1	38.43	73
0 1 3	43.66	69
2 0 -3	46.07	54
0 2 0	47.35	70

***

Entry 5:
This entry pairs a crystal structure of Hf2ZrNi3As4Pd with its computed powder diffractogram. Radiation: copper Kα. Structure: a DFT-relaxed cell (GGA-PBE, OQMD).

Crystal structure
Cell lengths 6.467, 3.834, 7.396 Å; angles 90.00, 90.73, 90.00 degrees
Space group Pm (No. 6)
Asymmetric unit:
Hf1 0.000 0.000 0.000 [1 per cell]
Hf2 0.448 0.500 0.490 [1 per cell]
Zr1 0.940 0.500 0.628 [1 per cell]
Ni1 0.338 0.500 0.864 [1 per cell]
Ni2 0.624 0.000 0.750 [1 per cell]
Ni3 0.848 0.500 0.245 [1 per cell]
As1 0.245 0.000 0.698 [1 per cell]
As2 0.257 0.500 0.172 [1 per cell]
As3 0.705 0.500 0.941 [1 per cell]
As4 0.718 0.000 0.414 [1 per cell]
Pd1 0.116 0.000 0.369 [1 per cell]

The 8 most intense peaks (15 to 90 degrees two-theta), by angle:
index	Position (°2θ)	Rel. int.
1 0 -1	18.11	38
1 1 0	27.04	43
1 1 -2	36.37	100
1 1 2	36.64	57
2 1 -1	38.28	92
2 1 1	38.52	57
0 1 3	43.64	85
0 2 0	47.43	58

***

Entry 6:
This entry pairs a crystal structure of Hf2ZrNi3As4Pd with its computed powder diffractogram. Radiation: copper Kα. Structure: a DFT-relaxed cell (GGA-PBE, OQMD).

Crystal structure
Cell lengths 6.481, 3.846, 7.330 Å; angles 90.00, 90.88, 90.00 degrees
Space group Pm (No. 6)
Asymmetric unit:
Hf1 0.000 0.000 0.000 [1 per cell]
Hf2 0.445 0.500 0.519 [1 per cell]
Zr1 0.508 0.000 0.140 [1 per cell]
Ni1 0.124 0.000 0.381 [1 per cell]
Ni2 0.338 0.500 0.883 [1 per cell]
Ni3 0.589 0.000 0.769 [1 per cell]
As1 0.208 0.000 0.699 [1 per cell]
As2 0.218 0.500 0.199 [1 per cell]
As3 0.720 0.500 0.920 [1 per cell]
As4 0.741 0.000 0.474 [1 per cell]
Pd1 0.830 0.500 0.269 [1 per cell]

The 8 most intense peaks (15 to 90 degrees two-theta), by angle:
index	Position (°2θ)	Rel. int.
1 0 1	18.41	42
2 1 0	36.25	48
1 1 -2	36.45	37
1 1 2	36.75	100
2 1 -1	38.20	85
2 1 1	38.49	68
0 1 3	43.90	84
0 2 0	47.27	61

***

Entry 7:
This entry pairs a crystal structure of Hf2ZrNi3As4Pd with its computed powder diffractogram. Radiation: copper Kα. Structure: a DFT-relaxed cell (GGA-PBE, OQMD).

Crystal structure
Cell lengths 6.466, 3.829, 7.397 Å; angles 90.00, 90.55, 90.00 degrees
Space group Pm (No. 6)
Asymmetric unit:
Hf1 0.000 0.000 0.000 [1 per cell]
Hf2 0.491 0.000 0.136 [1 per cell]
Zr1 0.552 0.500 0.509 [1 per cell]
Ni1 0.179 0.500 0.257 [1 per cell]
Ni2 0.398 0.000 0.759 [1 per cell]
Ni3 0.890 0.000 0.372 [1 per cell]
As1 0.255 0.000 0.449 [1 per cell]
As2 0.270 0.500 0.923 [1 per cell]
As3 0.795 0.500 0.207 [1 per cell]
As4 0.810 0.000 0.682 [1 per cell]
Pd1 0.667 0.500 0.882 [1 per cell]

The 8 most intense peaks (15 to 90 degrees two-theta), by angle:
index	Position (°2θ)	Rel. int.
2 1 0	36.40	100
1 1 2	36.62	40
2 1 -1	38.33	79
2 1 1	38.51	50
1 0 -3	38.97	26
0 1 3	43.66	65
1 1 3	46.09	35
0 2 0	47.49	52

***

Entry 8:
This entry pairs a crystal structure of Hf2ZrNi2As4Pd2 with its computed powder diffractogram. Radiation: copper Kα. Structure: a DFT-relaxed cell (GGA-PBE, OQMD).

Crystal structure
Cell lengths 6.595, 3.872, 7.457 Å; angles 90.00, 90.85, 90.00 degrees
Space group Pm (No. 6)
Asymmetric unit:
Hf1 0.000 0.000 0.000 [1 per cell]
Hf2 0.070 0.500 0.617 [1 per cell]
Zr1 0.558 0.500 0.484 [1 per cell]
Ni1 0.150 0.500 0.252 [1 per cell]
Ni2 0.910 0.000 0.364 [1 per cell]
As1 0.278 0.000 0.401 [1 per cell]
As2 0.284 0.500 0.952 [1 per cell]
As3 0.779 0.500 0.196 [1 per cell]
As4 0.785 0.000 0.668 [1 per cell]
Pd1 0.373 0.000 0.747 [1 per cell]
Pd2 0.679 0.500 0.873 [1 per cell]

The 8 most intense peaks (15 to 90 degrees two-theta), by angle:
index	Position (°2θ)	Rel. int.
2 1 0	35.77	60
1 1 2	36.25	86
2 1 -1	37.68	100
2 1 1	37.95	48
1 0 -3	38.52	34
0 1 3	43.25	77
1 1 -3	45.33	31
0 2 0	46.94	61

***

Entry 9:
This entry pairs a crystal structure of HfZr2Ni3As4Pd with its computed powder diffractogram. Radiation: copper Kα. Structure: a DFT-relaxed cell (GGA-PBE, OQMD).

Crystal structure
Cell lengths 6.544, 3.850, 7.408 Å; angles 90.00, 90.07, 90.00 degrees
Space group Pm (No. 6)
Asymmetric unit:
Hf1 0.000 0.000 0.000 [1 per cell]
Zr1 0.452 0.500 0.508 [1 per cell]
Zr2 0.514 0.000 0.129 [1 per cell]
Ni1 0.352 0.500 0.875 [1 per cell]
Ni2 0.603 0.000 0.759 [1 per cell]
Ni3 0.824 0.500 0.256 [1 per cell]
As1 0.218 0.500 0.181 [1 per cell]
As2 0.224 0.000 0.710 [1 per cell]
As3 0.726 0.500 0.920 [1 per cell]
As4 0.739 0.000 0.449 [1 per cell]
Pd1 0.118 0.000 0.385 [1 per cell]

The 8 most intense peaks (15 to 90 degrees two-theta), by angle:
index	Position (°2θ)	Rel. int.
1 0 -1	18.09	26
2 1 0	36.02	37
1 1 2	36.36	71
2 1 -1	38.08	100
1 0 -3	38.98	28
0 1 3	43.54	51
1 1 -3	45.80	28
0 2 0	47.22	43

***

Entry 10:
This entry pairs a crystal structure of Hf2ZrNi2As4Pd2 with its computed powder diffractogram. Radiation: copper Kα. Structure: a DFT-relaxed cell (GGA-PBE, OQMD).

Crystal structure
Cell lengths 6.535, 3.876, 7.451 Å; angles 90.00, 90.12, 90.00 degrees
Space group Pm (No. 6)
Asymmetric unit:
Hf1 0.000 0.000 0.000 [1 per cell]
Hf2 0.441 0.500 0.519 [1 per cell]
Zr1 0.508 0.000 0.143 [1 per cell]
Ni1 0.115 0.000 0.376 [1 per cell]
Ni2 0.592 0.000 0.767 [1 per cell]
As1 0.190 0.000 0.686 [1 per cell]
As2 0.213 0.500 0.211 [1 per cell]
As3 0.728 0.500 0.919 [1 per cell]
As4 0.733 0.000 0.472 [1 per cell]
Pd1 0.329 0.500 0.885 [1 per cell]
Pd2 0.824 0.500 0.266 [1 per cell]

The 8 most intense peaks (15 to 90 degrees two-theta), by angle:
index	Position (°2θ)	Rel. int.
1 0 1	18.06	44
2 1 0	35.95	44
1 1 2	36.16	76
2 1 1	37.99	100
1 0 3	38.79	34
0 1 3	43.27	66
1 1 -3	45.54	27
0 2 0	46.89	43

***

Entry 11:
This entry pairs a crystal structure of Hf2ZrNiAs4Pd3 with its computed powder diffractogram. Radiation: copper Kα. Structure: a DFT-relaxed cell (GGA-PBE, OQMD).

Crystal structure
Cell lengths 6.564, 3.905, 7.623 Å; angles 90.00, 90.47, 90.00 degrees
Space group Pm (No. 6)
Asymmetric unit:
Hf1 0.000 0.000 0.000 [1 per cell]
Hf2 0.428 0.500 0.486 [1 per cell]
Zr1 0.926 0.500 0.627 [1 per cell]
Ni1 0.316 0.500 0.860 [1 per cell]
As1 0.218 0.000 0.696 [1 per cell]
As2 0.254 0.500 0.167 [1 per cell]
As3 0.702 0.000 0.427 [1 per cell]
As4 0.704 0.500 0.941 [1 per cell]
Pd1 0.117 0.000 0.369 [1 per cell]
Pd2 0.605 0.000 0.753 [1 per cell]
Pd3 0.840 0.500 0.246 [1 per cell]

The 8 most intense peaks (15 to 90 degrees two-theta), by angle:
index	Position (°2θ)	Rel. int.
1 0 -1	17.76	32
1 1 -2	35.57	39
2 1 0	35.73	100
2 1 -1	37.62	60
1 0 -3	37.81	65
0 1 3	42.44	50
1 1 3	44.83	23
0 2 0	46.51	47

***

Entry 12:
This entry pairs a crystal structure of HfZr2Ni3As4Pd with its computed powder diffractogram. Radiation: copper Kα. Structure: a DFT-relaxed cell (GGA-PBE, OQMD).

Crystal structure
Cell lengths 6.494, 3.849, 7.406 Å; angles 90.00, 90.73, 90.00 degrees
Space group Pm (No. 6)
Asymmetric unit:
Hf1 0.000 0.000 0.000 [1 per cell]
Zr1 0.451 0.500 0.490 [1 per cell]
Zr2 0.943 0.500 0.628 [1 per cell]
Ni1 0.337 0.500 0.865 [1 per cell]
Ni2 0.628 0.000 0.753 [1 per cell]
Ni3 0.851 0.500 0.245 [1 per cell]
As1 0.247 0.000 0.700 [1 per cell]
As2 0.255 0.500 0.172 [1 per cell]
As3 0.705 0.500 0.941 [1 per cell]
As4 0.725 0.000 0.415 [1 per cell]
Pd1 0.117 0.000 0.368 [1 per cell]

The 8 most intense peaks (15 to 90 degrees two-theta), by angle:
index	Position (°2θ)	Rel. int.
1 1 0	26.93	32
1 1 -2	36.24	100
1 1 2	36.53	53
2 1 -1	38.13	96
2 1 1	38.37	59
0 1 3	43.56	76
1 1 3	46.01	30
0 2 0	47.23	66

***

Entry 13:
This entry pairs a crystal structure of Hf2ZrNi2As4Pd2 with its computed powder diffractogram. Radiation: copper Kα. Structure: a DFT-relaxed cell (GGA-PBE, OQMD).

Crystal structure
Cell lengths 6.546, 3.879, 7.452 Å; angles 90.00, 90.28, 90.00 degrees
Space group Pm (No. 6)
Asymmetric unit:
Hf1 0.000 0.000 0.000 [1 per cell]
Hf2 0.066 0.500 0.625 [1 per cell]
Zr1 0.558 0.500 0.481 [1 per cell]
Ni1 0.149 0.500 0.250 [1 per cell]
Ni2 0.676 0.500 0.858 [1 per cell]
As1 0.283 0.000 0.401 [1 per cell]
As2 0.291 0.500 0.952 [1 per cell]
As3 0.752 0.500 0.166 [1 per cell]
As4 0.773 0.000 0.693 [1 per cell]
Pd1 0.376 0.000 0.747 [1 per cell]
Pd2 0.890 0.000 0.369 [1 per cell]

The 8 most intense peaks (15 to 90 degrees two-theta), by angle:
index	Position (°2θ)	Rel. int.
1 1 -1	29.32	37
2 1 0	35.90	45
1 1 2	36.15	75
2 1 -1	37.94	100
0 1 3	43.26	57
1 1 -3	45.47	23
0 2 0	46.84	44
3 0 -2	48.23	18